Simulated XRD peak list of Nb3AlV8 for CuKα, from a DFT-relaxed cell (GGA-PBE, Alexandria).
Lines closer than 0.1° are merged.

Cell and atoms:
```
data_Nb3AlV8
_symmetry_space_group_name_H-M 'P 3 m 1'
_symmetry_Int_Tables_number 156
_cell_length_a 5.0281
_cell_length_b 5.0281
_cell_length_c 8.2422
_cell_angle_alpha 90.00
_cell_angle_beta 90.00
_cell_angle_gamma 120.00
loop_
_symmetry_equiv_pos_as_xyz
'x,y,z'
'-y,x-y,z'
'-x+y,-x,z'
'-y,-x,z'
'-x+y,y,z'
'x,x-y,z'
loop_
_atom_site_label
_atom_site_type_symbol
_atom_site_fract_x
_atom_site_fract_y
_atom_site_fract_z
Nb1 Nb 0.0000 0.0000 0.0000
Nb2 Nb 0.0000 0.0000 0.3741
Nb3 Nb 0.3333 0.6667 0.8743
Al1 Al 0.3333 0.6667 0.5005
V1 V 0.0048 0.5024 0.1880
V2 V 0.3262 0.1631 0.6870
V3 V 0.6667 0.3333 0.4336
V4 V 0.6667 0.3333 0.9354
```

Principal peaks in the range 10 to 90 degrees two-theta, in order of rising 2θ:
Position (°2θ)  d (Å)  I/Imax  hkl
35.7  2.514  444  1 1 0
38.8  2.324  848  1 0 3
42.1  2.146  1000  1 1 2
43.0  2.105  714  0 2 1
66.2  1.412  306  2 1 3
71.8  1.314  269  2 0 5